# 1
Theoretical X-ray diffraction stick pattern
Compound: RbZnI3
Radiation: Cu Ka
Structure: a DFT-relaxed cell (PBE, Alexandria)
Peak positions follow from Bragg's law for the DFT cell and can differ from measured ones.

Crystal structure
```
data_RbZnI3
_chemical_formula_sum 'Rb4 Zn4 I12'
_symmetry_space_group_name_H-M 'C 1 2/m 1'
_symmetry_Int_Tables_number 12
_cell_length_a 13.660
_cell_length_b 10.859
_cell_length_c 6.137
_cell_angle_alpha 90.00
_cell_angle_beta 93.13
_cell_angle_gamma 90.00
loop_
_symmetry_equiv_pos_as_xyz
'x,y,z'
'-x,-y,-z'
'-x,y,-z'
'x,-y,z'
'x+1/2,y+1/2,z'
'-x+1/2,-y+1/2,-z'
'-x+1/2,y+1/2,-z'
'x+1/2,-y+1/2,z'
loop_
_atom_site_label
_atom_site_fract_x
_atom_site_fract_y
_atom_site_fract_z
_atom_site_occupancy
Rb1 0.195 0.000 0.267 1
Zn1 0.000 0.335 0.500 1
I1 0.101 0.500 0.272 1
I2 0.126 0.208 0.740 1
```

Top 8 peaks for 10 to 90 degrees two-theta, low angle first:
| 2θ (°) | I (rel.) | hkl |
| --- | --- | --- |
| 25.10 | 100.0 | 2 2 -1 |
| 25.93 | 54.9 | 2 2 1 |
| 26.13 | 15.3 | 4 0 0 |
| 26.35 | 26.0 | 3 1 1 |
| 29.15 | 25.9 | 0 0 2 |
| 38.40 | 13.7 | 4 0 -2 |
| 41.45 | 20.3 | 5 3 0 |
| 44.60 | 15.3 | 0 4 2 |

***

# 2
Theoretical X-ray diffraction stick pattern
Compound: AlTlSe3
Radiation: Cu Ka
Structure: a DFT-relaxed cell (PBE, Alexandria)
Peak positions follow from Bragg's law for the DFT cell and can differ from measured ones.

Crystal structure
```
data_AlTlSe3
_chemical_formula_sum 'Al4 Tl4 Se12'
_symmetry_space_group_name_H-M 'C m c 21'
_symmetry_Int_Tables_number 36
_cell_length_a 5.422
_cell_length_b 18.292
_cell_length_c 6.601
_cell_angle_alpha 90.00
_cell_angle_beta 90.00
_cell_angle_gamma 90.00
loop_
_symmetry_equiv_pos_as_xyz
'x,y,z'
'-x,-y,z+1/2'
'-x,y,z'
'x,-y,z+1/2'
'x+1/2,y+1/2,z'
'-x+1/2,-y+1/2,z+1/2'
'-x+1/2,y+1/2,z'
'x+1/2,-y+1/2,z+1/2'
loop_
_atom_site_label
_atom_site_fract_x
_atom_site_fract_y
_atom_site_fract_z
_atom_site_occupancy
Al1 0.000 0.059 0.000 1
Tl1 0.000 0.331 0.105 1
Se1 0.000 0.060 0.638 1
Se2 0.241 0.342 0.619 1
```

Top 8 peaks for 10 to 90 degrees two-theta, low angle first:
| 2θ (°) | I (rel.) | hkl |
| --- | --- | --- |
| 19.41 | 37.8 | 0 4 0 |
| 21.76 | 64.7 | 1 1 1 |
| 21.94 | 98.1 | 1 3 0 |
| 27.02 | 88.3 | 0 0 2 |
| 32.49 | 51.5 | 1 5 1 |
| 35.07 | 54.3 | 1 3 2 |
| 37.18 | 100.0 | 2 2 1 |
| 54.65 | 35.9 | 2 2 3 |

***

# 3
Theoretical X-ray diffraction stick pattern
Compound: Sc3GaAg3S8
Radiation: Cu Ka
Structure: a DFT-relaxed cell (PBE, Alexandria)
Peak positions follow from Bragg's law for the DFT cell and can differ from measured ones.

Crystal structure
```
data_Sc3GaAg3S8
_chemical_formula_sum 'Sc6 Ga2 Ag6 S16'
_symmetry_space_group_name_H-M 'C 1 2/m 1'
_symmetry_Int_Tables_number 12
_cell_length_a 12.942
_cell_length_b 7.477
_cell_length_c 7.635
_cell_angle_alpha 90.00
_cell_angle_beta 124.84
_cell_angle_gamma 90.00
loop_
_symmetry_equiv_pos_as_xyz
'x,y,z'
'-x,-y,-z'
'-x,y,-z'
'x,-y,z'
'x+1/2,y+1/2,z'
'-x+1/2,-y+1/2,-z'
'-x+1/2,y+1/2,-z'
'x+1/2,-y+1/2,z'
loop_
_atom_site_label
_atom_site_fract_x
_atom_site_fract_y
_atom_site_fract_z
_atom_site_occupancy
Sc1 0.000 0.000 0.000 1
Sc2 0.250 0.250 0.000 1
Ga1 0.000 0.500 0.000 1
Ag1 0.000 0.500 0.500 1
Ag2 0.250 0.250 0.500 1
S1 0.004 0.261 0.775 1
S2 0.235 0.500 0.224 1
S3 0.241 0.000 0.219 1
```

Top 8 peaks for 10 to 90 degrees two-theta, low angle first:
| 2θ (°) | I (rel.) | hkl |
| --- | --- | --- |
| 14.47 | 41.1 | 1 1 0 |
| 29.18 | 26.4 | 4 0 -2 |
| 33.56 | 100.0 | 2 2 -2 |
| 33.75 | 49.3 | 4 0 0 |
| 47.66 | 16.4 | 4 0 -4 |
| 47.92 | 32.6 | 2 2 2 |
| 48.73 | 48.8 | 0 4 0 |
| 60.58 | 15.9 | 4 4 0 |